FeCuS2: theoretical powder X-ray diffraction pattern (a wavelength of 1.5418 Å), based on a crystal structure in the Materials Project, relaxed with GGA-PBE.

The 11 most intense peaks (2θ = 10–80°), sorted by position:
hkl 1 0 1, d = 3.020 Å, 29.6 deg, I 100; hkl 1 1 0, d = 2.620 Å, 34.2 deg, I 6; hkl 0 0 2, d = 2.607 Å, 34.4 deg, I 3; hkl 2 0 0, d = 1.853 Å, 49.2 deg, I 20; hkl 1 1 2, d = 1.848 Å, 49.3 deg, I 40; hkl 2 1 1, d = 1.579 Å, 58.4 deg, I 25; hkl 1 0 3, d = 1.573 Å, 58.7 deg, I 12; hkl 2 0 2, d = 1.510 Å, 61.4 deg, I 2; hkl 2 2 0, d = 1.310 Å, 72.1 deg, I 6; hkl 0 0 4, d = 1.303 Å, 72.5 deg, I 3; hkl 3 0 1, d = 1.202 Å, 79.8 deg, I 5

Crystal structure
```
data_FeCuS2
_cell_length_a 3.7054
_cell_length_b 3.7054
_cell_length_c 5.2134
_cell_angle_alpha 90.00
_cell_angle_beta 90.00
_cell_angle_gamma 90.00
_symmetry_space_group_name_H-M 'P -4 m 2'
_symmetry_Int_Tables_number 115
loop_
_symmetry_equiv_pos_as_xyz
'x,y,z'
'y,-x,-z'
'-x,-y,z'
'-y,x,-z'
'-x,y,z'
'-y,-x,-z'
'x,-y,z'
'y,x,-z'
loop_
_atom_site_label
_atom_site_type_symbol
_atom_site_fract_x
_atom_site_fract_y
_atom_site_fract_z
Fe1 Fe 0.0000 0.0000 0.0000
Cu1 Cu 0.5000 0.5000 0.5000
S1 S 0.0000 0.5000 0.7546
```